Record 1
# La3Ga4Ir2
Theoretical powder diffraction line list, Cu Kα (weighted mean of Kα1 and Kα2). Input: the GGA-PBE geometry in Alexandria.

Cell and atoms:
```
La3Ga4Ir2
1.0
5.754 -2.140 0.000
5.754 2.140 0.000
-2.970 0.000 8.301
La Ga Ir
3 4 2
direct
0.000 0.000 0.000
0.316 0.316 0.359
0.684 0.684 0.641
0.024 0.024 0.359
0.261 0.261 0.923
0.739 0.739 0.077
0.976 0.976 0.641
0.390 0.390 0.730
0.610 0.610 0.270
```

Peak list (6 most intense, 2θ = 5–70°, in order of rising 2θ)
d [Å], Rel. int.
5.456, 267
2.877, 297
2.762, 1000
2.711, 662
2.268, 736
2.140, 368



Record 2
# Cs3SmPu2O9
Theoretical powder diffraction line list, Cu Kα (weighted mean of Kα1 and Kα2). Input: the GGA-PBE geometry in Alexandria.

Cell and atoms:
```
Cs3SmPu2O9
1.0
6.251 0.000 0.000
-3.125 5.413 0.000
0.000 0.000 7.665
Cs Sm Pu O
3 1 2 9
direct
0.000 0.000 0.000
0.333 0.667 0.663
0.667 0.333 0.337
0.000 0.000 0.500
0.333 0.667 0.161
0.667 0.333 0.839
0.000 0.500 0.000
0.179 0.359 0.316
0.179 0.821 0.316
0.359 0.179 0.684
0.500 0.000 0.000
0.500 0.500 0.000
0.641 0.821 0.316
0.821 0.179 0.684
0.821 0.641 0.684
```

Peak list (6 most intense, 2θ = 5–70°, in order of rising 2θ)
d [Å], Rel. int.
4.422, 106
3.127, 1000
2.211, 275
1.805, 421
1.563, 177
1.398, 189